Entry 1:
Starting from a PBE-relaxed structure, the XRD peak list of Ba2Tl2Bi3O10 was calculated for Cu Kα.
Lines closer than 0.1° are merged.

Structural model:
```
data_Ba2Tl2Bi3O10
_symmetry_space_group_name_H-M 'P 1'
_symmetry_Int_Tables_number 1
_symmetry_space_group_name_Hall 'P 1'
_cell_length_a 3.898
_cell_length_b 3.920
_cell_length_c 21.005
_cell_angle_alpha 92.97
_cell_angle_beta 92.27
_cell_angle_gamma 90.00
loop_
_atom_site_label
_atom_site_fract_x
_atom_site_fract_y
_atom_site_fract_z
Ba1 0.000 0.000 0.000
Ba2 0.417 0.391 0.608
Tl1 0.470 0.448 0.859
Tl2 0.947 0.917 0.749
Bi1 0.067 0.308 0.305
Bi2 0.530 0.545 0.139
Bi3 0.880 0.852 0.469
O1 0.019 0.524 0.089
O2 0.056 0.797 0.257
O3 0.398 0.865 0.519
O4 0.449 0.514 0.761
O5 0.490 0.488 0.955
O6 0.519 0.024 0.090
O7 0.576 0.322 0.353
O8 0.898 0.365 0.519
O9 0.926 0.903 0.653
O10 0.967 0.038 0.847
```

Main lines, low angle first (5 to 70 degrees two-theta):
h k l	d_spacing	Position (°2θ)	I/Imax
0 1 2	3.605	24.69	234
0 1 3	3.344	26.66	1000
0 1 -4	3.217	27.73	815
1 0 -4	3.187	28.00	771
1 0 4	3.065	29.14	444
0 0 7	2.994	29.84	309
1 -1 0	2.760	32.43	991
1 1 -8	1.965	46.21	380
0 2 -1	1.958	46.38	303
2 0 0	1.947	46.66	248

---

Entry 2:
Starting from a PBE-relaxed structure, the XRD peak list of CdBi3S6 was calculated for Cu Kα.
Lines closer than 0.1° are merged.

Structural model:
```
data_CdBi3S6
_symmetry_space_group_name_H-M 'R 3'
_symmetry_Int_Tables_number 146
_symmetry_space_group_name_Hall 'R 3'
_cell_length_a 7.0498
_cell_length_b 7.0498
_cell_length_c 18.6787
_cell_angle_alpha 90.00
_cell_angle_beta 90.00
_cell_angle_gamma 120.00
loop_
_atom_site_label
_atom_site_fract_x
_atom_site_fract_y
_atom_site_fract_z
Cd1 0.0000 0.0000 0.0000
Bi1 0.0000 0.0000 0.2908
Bi2 0.0000 0.0000 0.4911
Bi3 0.0000 0.0000 0.7936
S1 0.0428 0.3641 0.0560
S2 0.0516 0.6848 0.5611
```

Main lines, low angle first (5 to 70 degrees two-theta):
h k l	d_spacing	Position (°2θ)	I/Imax
0 1 2	5.110	17.35	409
1 0 4	3.709	23.99	924
1 1 0	3.525	25.27	1000
0 2 4	2.555	35.12	454
2 -1 6	2.333	38.58	738
3 -1 4	2.069	43.76	465
3 0 0	2.035	44.52	438
1 0 10	1.786	51.13	241
0 2 10	1.592	57.91	279
2 1 10	1.452	64.14	199

---

Entry 3:
Starting from a PBE-relaxed structure, the XRD peak list of Er12MgFe6 was calculated for Cu Kα.
Lines closer than 0.1° are merged.

Structural model:
```
data_Er12MgFe6
_symmetry_space_group_name_H-M 'I m -3'
_symmetry_Int_Tables_number 204
_symmetry_space_group_name_Hall '-I 2 2 3'
_cell_length_a 9.630
_cell_length_b 9.630
_cell_length_c 9.630
_cell_angle_alpha 90.00
_cell_angle_beta 90.00
_cell_angle_gamma 90.00
loop_
_atom_site_label
_atom_site_fract_x
_atom_site_fract_y
_atom_site_fract_z
Er1 0.000 0.300 0.196
Mg1 0.000 0.000 0.000
Fe1 0.000 0.110 0.500
```

Main lines, low angle first (5 to 70 degrees two-theta):
h k l	d_spacing	Position (°2θ)	I/Imax
2 2 0	3.405	26.17	168
3 0 1	3.045	29.33	491
2 2 2	2.780	32.20	610
3 1 2	2.574	34.86	1000
4 0 0	2.408	37.35	228
5 0 1	1.889	48.18	224
5 3 0	1.652	55.65	428
6 0 0	1.605	57.41	121
5 2 3	1.562	59.14	404
5 3 4	1.362	68.95	215